Starting from a DFT-relaxed cell (GGA-PBE, Alexandria), the powder diffraction line list of La5Dy3Y was calculated for Cu Ka.

Main lines, sorted by position (15° ≤ 2θ ≤ 90°):
two_theta  d (Å)  Rel. int.
25.45  3.500  44
26.07  3.418  36
28.32  3.152  89
28.88  3.091  91
29.38  3.040  47
29.76  3.002  62
31.23  2.864  100
32.44  2.760  48
33.45  2.679  71
34.41  2.606  35
34.93  2.569  44
53.63  1.709  38

Cell and atoms:
```
La5Dy3Y
1.0
10.2620 -3.2042 0.0000
10.2620 3.2042 0.0000
-6.4477 0.0000 9.8773
La Dy Y
10 6 2
Cartesian
5.2044 2.0545 3.3138
5.4262 2.6383 7.4079
2.2632 1.1454 6.5815
12.0957 2.0545 1.6249
5.4871 -1.1454 1.6428
8.5892 1.1454 8.2344
1.9806 -2.0545 8.2524
11.8131 -1.1454 3.2958
8.6501 -2.6383 2.4693
8.8719 -2.0545 6.5635
0.3791 1.4800 9.6669
10.4734 1.4800 5.1489
10.2620 0.0000 0.0000
7.0382 0.0000 4.9386
3.6030 -1.4800 4.7283
13.6972 -1.4800 0.2103
8.6501 0.6528 2.4693
5.4262 -0.6528 7.4079
```